1.
For HfZr2Fe2As4Pd2, DFT lattice parameters and positions (PBE) gives the computed PXRD pattern in this record (Cu Kα X-rays).
Kinematic intensities with the Lorentz-polarization factor, no thermal factor.

Crystal structure
Unit cell a=6.5696 b=3.8762 c=7.5098 alpha=90.00 beta=90.12 gamma=90.00
Space group Pm (No. 6)
Unique sites:
Hf  0.0000  0.0000  0.0000 (multiplicity 1)
Zr  0.0718  0.5000  0.6292 (multiplicity 1)
Zr  0.5612  0.5000  0.4870 (multiplicity 1)
Fe  0.1454  0.5000  0.2632 (multiplicity 1)
Fe  0.9109  0.0000  0.3615 (multiplicity 1)
As  0.2810  0.0000  0.3997 (multiplicity 1)
As  0.2925  0.5000  0.9692 (multiplicity 1)
As  0.7820  0.0000  0.6686 (multiplicity 1)
As  0.7834  0.5000  0.1946 (multiplicity 1)
Pd  0.3748  0.0000  0.7524 (multiplicity 1)
Pd  0.6803  0.5000  0.8766 (multiplicity 1)

Peak list (10 most intense, 2θ from 10° to 90°, in order of falling intensity)
(2 1 -1), 37.84°, rel. 100; (1 1 2), 36.01°, rel. 79; (0 1 3), 43.02°, rel. 65; (2 1 0), 35.84°, rel. 45; (0 2 0), 46.88°, rel. 44; (1 0 -3), 38.47°, rel. 34; (1 0 -1), 17.93°, rel. 30; (1 1 -3), 45.27°, rel. 29; (3 0 -2), 48.10°, rel. 24; (1 1 -1), 29.28°, rel. 22



2.
For CsPaF6, DFT lattice parameters and positions (PBE) gives the computed PXRD pattern in this record (Cu Kα X-rays).
Kinematic intensities with the Lorentz-polarization factor, no thermal factor.

Crystal structure
Unit cell a=5.6031 b=5.6031 c=15.7602 alpha=90.00 beta=90.00 gamma=120.00
Space group R-3m (No. 166, hexagonal axes)
Unique sites:
Cs  0.0000  0.0000  0.0000 (multiplicity 3)
Pa  0.0000  0.0000  0.5000 (multiplicity 3)
F  0.0157  0.5078  0.9113 (multiplicity 18)

Peak list (10 most intense, 2θ from 10° to 90°, in order of falling intensity)
(0 1 2), 21.51°, rel. 100; (1 0 4), 29.20°, rel. 65; (1 1 6), 47.45°, rel. 35; (1 1 0), 31.94°, rel. 34; (2 0 2), 38.84°, rel. 34; (1 2 2), 51.13°, rel. 23; (2 1 4), 55.25°, rel. 20; (1 0 1), 19.14°, rel. 19; (0 1 8), 49.97°, rel. 14; (0 2 4), 43.82°, rel. 12



3.
For YCo2SiGe, DFT lattice parameters and positions (PBE) gives the computed PXRD pattern in this record (Cu Kα X-rays).
Kinematic intensities with the Lorentz-polarization factor, no thermal factor.

Crystal structure
Unit cell a=3.9220 b=3.9220 c=9.9159 alpha=90.00 beta=90.00 gamma=90.00
Space group I4mm (No. 107)
Unique sites:
Y  0.0000  0.0000  0.0000 (multiplicity 2)
Co  0.0000  0.5000  0.2438 (multiplicity 4)
Si  0.0000  0.0000  0.6308 (multiplicity 2)
Ge  0.0000  0.0000  0.3742 (multiplicity 2)

Peak list (10 most intense, 2θ from 10° to 90°, in order of falling intensity)
(1 1 2), 37.15°, rel. 100; (1 0 3), 35.52°, rel. 69; (2 0 0), 46.30°, rel. 55; (2 1 3), 59.68°, rel. 29; (1 0 5), 51.65°, rel. 21; (3 1 2), 79.69°, rel. 19; (1 1 6), 65.78°, rel. 17; (2 2 0), 67.55°, rel. 17; (1 1 4), 49.31°, rel. 17; (2 1 5), 71.86°, rel. 15



4.
For TbYNi8B2, DFT lattice parameters and positions (PBE) gives the computed PXRD pattern in this record (Cu Kα X-rays).
Kinematic intensities with the Lorentz-polarization factor, no thermal factor.

Crystal structure
Unit cell a=4.9966 b=4.9966 c=6.9645 alpha=90.00 beta=90.00 gamma=120.00
Space group P6/mmm (No. 191)
Unique sites:
Tb  0.0000  0.0000  0.0000 (multiplicity 1)
Y  0.0000  0.0000  0.5000 (multiplicity 1)
Ni  0.0000  0.5000  0.2078 (multiplicity 6)
Ni  0.3333  0.6667  0.5000 (multiplicity 2)
B  0.3333  0.6667  0.0000 (multiplicity 2)

Peak list (10 most intense, 2θ from 10° to 90°, in order of falling intensity)
(1 1 2), 44.64°, rel. 100; (2 0 0), 41.75°, rel. 77; (1 0 2), 33.02°, rel. 76; (1 1 0), 35.95°, rel. 25; (3 0 2), 70.69°, rel. 24; (2 1 2), 62.77°, rel. 23; (2 2 0), 76.22°, rel. 22; (2 0 1), 43.82°, rel. 22; (1 0 3), 44.28°, rel. 19; (1 0 1), 24.21°, rel. 15



5.
For CsTaCu2Te4, DFT lattice parameters and positions (PBE) gives the computed PXRD pattern in this record (Cu Kα X-rays).
Kinematic intensities with the Lorentz-polarization factor, no thermal factor.

Crystal structure
Unit cell a=8.3095 b=20.8242 c=6.0473 alpha=90.00 beta=90.00 gamma=90.00
Space group Pna2_1 (No. 33)
Unique sites:
Cs  0.2039  0.0616  0.0000 (multiplicity 4)
Ta  0.2048  0.3532  0.7549 (multiplicity 4)
Cu  0.0371  0.7533  0.2462 (multiplicity 4)
Cu  0.2059  0.3541  0.2549 (multiplicity 4)
Te  0.0347  0.8582  0.0033 (multiplicity 4)
Te  0.0531  0.6497  0.0018 (multiplicity 4)
Te  0.1904  0.4564  0.0041 (multiplicity 4)
Te  0.2129  0.2494  0.0127 (multiplicity 4)

Peak list (10 most intense, 2θ from 10° to 90°, in order of falling intensity)
(0 5 1), 25.99°, rel. 100; (2 1 1), 26.38°, rel. 47; (2 4 2), 40.78°, rel. 41; (1 2 0), 13.63°, rel. 33; (2 6 2), 45.38°, rel. 27; (2 5 2), 42.89°, rel. 26; (0 10 0), 43.46°, rel. 20; (1 2 2), 32.66°, rel. 19; (4 1 0), 43.79°, rel. 17; (0 5 3), 50.29°, rel. 17



6.
For YEr2Lu4Te2Pd2, DFT lattice parameters and positions (PBE) gives the computed PXRD pattern in this record (Cu Kα X-rays).
Kinematic intensities with the Lorentz-polarization factor, no thermal factor.

Crystal structure
Unit cell a=3.9124 b=15.5121 c=9.4753 alpha=90.00 beta=90.00 gamma=90.00
Space group Imm2 (No. 44)
Unique sites:
Y  0.0000  0.0000  0.0000 (multiplicity 2)
Er  0.0000  0.3548  0.2622 (multiplicity 4)
Lu  0.0000  0.1303  0.4148 (multiplicity 4)
Lu  0.0000  0.3171  0.6247 (multiplicity 4)
Te  0.0000  0.0000  0.6596 (multiplicity 2)
Te  0.0000  0.5000  0.7662 (multiplicity 2)
Pd  0.0000  0.2390  0.9310 (multiplicity 4)

Peak list (10 most intense, 2θ from 10° to 90°, in order of falling intensity)
(1 4 1), 33.89°, rel. 100; (0 3 3), 33.24°, rel. 64; (1 3 2), 34.42°, rel. 61; (1 1 2), 30.18°, rel. 41; (2 0 0), 46.42°, rel. 29; (2 3 3), 58.28°, rel. 26; (1 2 3), 38.42°, rel. 23; (1 0 3), 36.56°, rel. 20; (0 5 1), 30.31°, rel. 17; (0 6 2), 39.74°, rel. 17